Entry 1:
Diffraction record for Nd2HoPd4. The powder X-ray diffraction pattern is simulated, not measured: it uses a crystal structure in Alexandria, relaxed with PBE and Cu Kα (λ = 1.5418 Å).
No peak broadening, texture or thermal motion is included.

Main lines, sorted by position (2θ from 10° to 90°):
| 2theta | Rel. int. |
| --- | --- |
| 11.61 | 45.1 |
| 21.07 | 55.4 |
| 31.65 | 29.1 |
| 34.78 | 64.7 |
| 35.33 | 34.3 |
| 37.13 | 100.0 |
| 42.89 | 33.3 |
| 46.55 | 28.4 |
| 52.19 | 44.6 |
| 56.70 | 33.1 |

Crystal structure
```
data_Nd2HoPd4
_symmetry_space_group_name_H-M 'F m m m'
_symmetry_Int_Tables_number 69
_symmetry_space_group_name_Hall '-F 2 2'
_cell_length_a 5.9148
_cell_length_b 8.4340
_cell_length_c 15.2416
_cell_angle_alpha 90.00
_cell_angle_beta 90.00
_cell_angle_gamma 90.00
loop_
_atom_site_label
_atom_site_type_symbol
_atom_site_fract_x
_atom_site_fract_y
_atom_site_fract_z
Nd1 Nd 0.0000 0.0000 0.1352
Ho1 Ho 0.0000 0.0000 0.5000
Pd1 Pd 0.0000 0.0000 0.3218
Pd2 Pd 0.2500 0.2500 0.0000
```



Entry 2:
Diffraction record for NdHo3Pd12. The powder X-ray diffraction pattern is simulated, not measured: it uses a crystal structure in Alexandria, relaxed with PBE and Cu Kα (λ = 1.5418 Å).
No peak broadening, texture or thermal motion is included.

Main lines, sorted by position (2θ from 10° to 90°):
| 2theta | Rel. int. |
| --- | --- |
| 21.52 | 2.1 |
| 30.56 | 2.7 |
| 37.67 | 100.0 |
| 43.63 | 16.2 |
| 43.84 | 32.6 |
| 63.57 | 20.9 |
| 63.74 | 10.6 |
| 76.16 | 11.9 |
| 76.46 | 24.6 |
| 80.42 | 10.6 |

Crystal structure
```
data_NdHo3Pd12
_symmetry_space_group_name_H-M 'P 4/m m m'
_symmetry_Int_Tables_number 123
_symmetry_space_group_name_Hall '-P 4 2'
_cell_length_a 4.1300
_cell_length_b 4.1300
_cell_length_c 16.5974
_cell_angle_alpha 90.00
_cell_angle_beta 90.00
_cell_angle_gamma 90.00
loop_
_atom_site_label
_atom_site_type_symbol
_atom_site_fract_x
_atom_site_fract_y
_atom_site_fract_z
Nd1 Nd 0.0000 0.0000 0.0000
Ho1 Ho 0.0000 0.0000 0.2535
Ho2 Ho 0.0000 0.0000 0.5000
Pd1 Pd 0.0000 0.5000 0.1298
Pd2 Pd 0.0000 0.5000 0.3764
Pd3 Pd 0.5000 0.5000 0.0000
Pd4 Pd 0.5000 0.5000 0.2526
Pd5 Pd 0.5000 0.5000 0.5000
```



Entry 3:
Diffraction record for NdHoSi2Pd2. The powder X-ray diffraction pattern is simulated, not measured: it uses a crystal structure in Alexandria, relaxed with PBE and Cu Kα (λ = 1.5418 Å).
No peak broadening, texture or thermal motion is included.

Main lines, sorted by position (2θ from 10° to 90°):
| 2theta | Rel. int. |
| --- | --- |
| 24.32 | 15.8 |
| 26.79 | 16.5 |
| 33.19 | 100.0 |
| 42.79 | 42.4 |
| 45.39 | 10.8 |
| 55.20 | 23.3 |
| 64.14 | 22.8 |
| 72.26 | 20.7 |
| 76.04 | 8.5 |
| 78.37 | 7.1 |

Crystal structure
```
data_NdHoSi2Pd2
_symmetry_space_group_name_H-M 'P -3 m 1'
_symmetry_Int_Tables_number 164
_symmetry_space_group_name_Hall '-P 3 2"'
_cell_length_a 4.2269
_cell_length_b 4.2269
_cell_length_c 7.9918
_cell_angle_alpha 90.00
_cell_angle_beta 90.00
_cell_angle_gamma 120.00
loop_
_atom_site_label
_atom_site_type_symbol
_atom_site_fract_x
_atom_site_fract_y
_atom_site_fract_z
Nd1 Nd 0.0000 0.0000 0.0000
Ho1 Ho 0.0000 0.0000 0.5000
Si1 Si 0.3333 0.6667 0.2553
Pd1 Pd 0.3333 0.6667 0.7293
```